K2NaLiSe2: theoretical XRD peak list (CuKα), based on a structure optimized by DFT (GGA-PBE).
Kinematic intensities with the Lorentz-polarization factor, no thermal factor.

Largest 10 diffraction maxima, sorted by position, 2θ from 10° to 80°:
(1 2 1), 2θ 22.40, rel. 59; (0 4 0), 2θ 23.72, rel. 35; (2 0 0), 2θ 26.81, rel. 59; (0 0 2), 2θ 27.13, rel. 60; (1 4 1), 2θ 30.55, rel. 100; (2 4 0), 2θ 36.09, rel. 44; (0 4 2), 2θ 36.34, rel. 46; (2 0 2), 2θ 38.51, rel. 72; (1 6 1), 2θ 40.92, rel. 27; (1 8 1), 2θ 52.57, rel. 30

```
data_K2NaLiSe2
_cell_length_a 6.6510
_cell_length_b 15.0061
_cell_length_c 6.5743
_cell_angle_alpha 90.00
_cell_angle_beta 90.00
_cell_angle_gamma 90.00
_symmetry_space_group_name_H-M 'I b a m'
_symmetry_Int_Tables_number 72
_symmetry_space_group_name_Hall '-I 2 2c'
loop_
_atom_site_label
_atom_site_fract_x
_atom_site_fract_y
_atom_site_fract_z
K1 0.2466 0.1729 0.0000
Na1 0.0000 0.5000 0.2500
Li1 0.0000 0.0000 0.2500
Se1 0.2284 0.1030 0.5000
```

DyNbFe4: theoretical XRD peak list (CuKα), based on a structure optimized by DFT (GGA-PBE).
Kinematic intensities with the Lorentz-polarization factor, no thermal factor.

Largest 10 diffraction maxima, sorted by position, 2θ from 10° to 80°:
(1 0 2), 2θ 30.14, rel. 21; (1 1 0), 2θ 36.13, rel. 60; (0 1 3), 2θ 39.11, rel. 94; (2 0 0), 2θ 41.96, rel. 15; (1 1 2), 2θ 42.55, rel. 100; (0 2 1), 2θ 43.46, rel. 61; (1 2 3), 2θ 66.96, rel. 37; (3 0 2), 2θ 69.38, rel. 22; (2 0 5), 2θ 72.59, rel. 26; (2 2 0), 2θ 76.65, rel. 22

```
data_DyNbFe4
_cell_length_a 4.9728
_cell_length_b 4.9728
_cell_length_c 8.1777
_cell_angle_alpha 90.00
_cell_angle_beta 90.00
_cell_angle_gamma 120.00
_symmetry_space_group_name_H-M 'P -3 m 1'
_symmetry_Int_Tables_number 164
_symmetry_space_group_name_Hall '-P 3 2"'
loop_
_atom_site_label
_atom_site_fract_x
_atom_site_fract_y
_atom_site_fract_z
Dy1 0.3333 0.6667 0.0677
Nb1 0.3333 0.6667 0.4449
Fe1 0.0000 0.0000 0.0000
Fe2 0.0000 0.0000 0.5000
Fe3 0.1676 0.3352 0.7351
```

Rb2Bi3: theoretical XRD peak list (CuKα), based on a structure optimized by DFT (GGA-PBE).
Kinematic intensities with the Lorentz-polarization factor, no thermal factor.

Largest 10 diffraction maxima, sorted by position, 2θ from 10° to 80°:
(0 2 0), 2θ 13.61, rel. 58; (0 2 1), 2θ 16.31, rel. 80; (1 3 1), 2θ 25.98, rel. 78; (0 2 3), 2θ 30.39, rel. 66; (2 2 1), 2θ 31.02, rel. 100; (2 0 2), 2θ 31.93, rel. 88; (0 4 2), 2θ 32.96, rel. 43; (2 2 2), 2θ 34.86, rel. 35; (2 6 0), 2θ 49.88, rel. 30; (2 4 4), 2θ 53.80, rel. 36

```
data_Rb2Bi3
_cell_length_a 6.8033
_cell_length_b 13.0081
_cell_length_c 9.8925
_cell_angle_alpha 90.00
_cell_angle_beta 90.00
_cell_angle_gamma 90.00
_symmetry_space_group_name_H-M 'C m c e'
_symmetry_Int_Tables_number 64
_symmetry_space_group_name_Hall '-C 2ac 2'
loop_
_atom_site_label
_atom_site_fract_x
_atom_site_fract_y
_atom_site_fract_z
Rb1 0.0000 0.1549 0.1029
Bi1 0.0000 0.0000 0.5000
Bi2 0.2500 0.0967 0.7500
```